No. 1
# Li3Fe2F9
Simulated PXRD pattern, copper Kα. Input: a structure optimized by DFT (PBE+U).
No peak broadening, texture or thermal motion is included.

Peak list (12 most intense, 2θ = 5–70°, most intense first)
d/Å	2θ/deg	I (rel.)
4.500	19.7	100
2.861	31.3	32
1.791	51.0	28
2.128	42.5	24
2.452	36.6	21
3.847	23.1	20
1.500	61.8	16
1.546	59.8	14
1.923	47.3	14
3.707	24.0	11
1.664	55.2	10
2.166	41.7	9

Cell and atoms:
Unit cell a=5.1965 b=5.1965 c=14.8271 alpha=90.00 beta=90.00 gamma=120.00
Space group P-62c (No. 190)
Asymmetric unit:
Li 0.3333 0.6667 0.0208 [4 per cell]
Li 0.3333 0.6667 0.2500 [2 per cell]
Fe 0.0000 0.0000 0.1500 [4 per cell]
F 0.0124 0.7293 0.2500 [6 per cell]
F 0.0228 0.3310 0.0886 [12 per cell]

---

No. 2
# LiFeF3
Simulated PXRD pattern, copper Kα. Input: a structure optimized by DFT (PBE+U).
No peak broadening, texture or thermal motion is included.

Peak list (12 most intense, 2θ = 5–70°, most intense first)
d/Å	2θ/deg	I (rel.)
5.151	17.2	100
2.970	30.1	53
3.634	24.5	47
1.765	51.8	32
1.760	52.0	31
2.745	32.6	25
2.735	32.7	24
1.514	61.2	18
1.618	56.9	14
2.190	41.2	14
2.841	31.5	14
2.185	41.3	14

Cell and atoms:
Unit cell a=3.2354 b=6.3038 c=6.3048 alpha=70.40 beta=89.80 gamma=89.81
Space group P1 (No. 1)
Asymmetric unit:
Li 0.0000 0.0000 0.0000 [1 per cell]
Li 0.0008 0.4989 0.5066 [1 per cell]
Fe 0.4986 0.0000 0.5057 [1 per cell]
Fe 0.4987 0.4976 0.0057 [1 per cell]
F 0.9996 0.5531 0.1916 [1 per cell]
F 0.4898 0.1372 0.1471 [1 per cell]
F 0.4896 0.8573 0.8672 [1 per cell]
F 0.9971 0.4361 0.8237 [1 per cell]
F 0.9975 0.8135 0.4523 [1 per cell]
F 0.9991 0.1813 0.5693 [1 per cell]

---

No. 3
# LiMnFeF6
Simulated PXRD pattern, copper Kα. Input: a structure optimized by DFT (PBE+U).
No peak broadening, texture or thermal motion is included.

Peak list (12 most intense, 2θ = 5–70°, most intense first)
d/Å	2θ/deg	I (rel.)
3.229	27.6	100
1.734	52.8	42
4.421	20.1	34
2.246	40.1	34
2.002	45.3	21
1.575	58.6	17
1.474	63.1	17
2.552	35.2	8
1.484	62.6	8
2.085	43.4	7
2.210	40.8	4
1.647	55.8	3

Cell and atoms:
Unit cell a=8.8419 b=8.8419 c=4.7276 alpha=90.00 beta=90.00 gamma=120.00
Space group P321 (No. 150)
Asymmetric unit:
Li 0.0000 0.0000 0.0000 [1 per cell]
Li 0.3333 0.6667 0.5046 [2 per cell]
Mn 0.0000 0.3541 0.0000 [3 per cell]
Fe 0.0000 0.6869 0.5000 [3 per cell]
F 0.1083 0.5768 0.7285 [6 per cell]
F 0.1081 0.8862 0.7569 [6 per cell]
F 0.2159 0.7784 0.2783 [6 per cell]

---

No. 4
# LiMnFeF6
Simulated PXRD pattern, copper Kα. Input: a structure optimized by DFT (PBE+U).
No peak broadening, texture or thermal motion is included.

Peak list (12 most intense, 2θ = 5–70°, most intense first)
d/Å	2θ/deg	I (rel.)
3.266	27.3	100
1.756	52.1	87
2.264	39.8	76
4.441	20.0	70
4.084	21.8	63
3.006	29.7	46
1.481	62.8	39
2.489	36.1	29
1.657	55.4	22
2.017	44.9	19
2.564	35.0	17
1.585	58.2	16

Cell and atoms:
Unit cell a=8.8824 b=8.8824 c=4.8191 alpha=90.00 beta=90.00 gamma=120.00
Space group P321 (No. 150)
Asymmetric unit:
Li 0.0000 0.7025 0.0000 [3 per cell]
Mn 0.0000 0.3614 0.5000 [3 per cell]
Fe 0.0000 0.0000 0.5000 [1 per cell]
Fe 0.3333 0.6667 0.0020 [2 per cell]
F 0.0990 0.2126 0.2752 [6 per cell]
F 0.1228 0.5796 0.2294 [6 per cell]
F 0.2219 0.4541 0.7783 [6 per cell]